Y2SiP4O15: theoretical powder diffraction line list (Cu Kα), based on a structure optimized by DFT (PBE).

a b c (Å): 7.083 16.538 5.540
angles (deg): 90.00 90.00 90.00
Element x y z (fractional)
Y  0.095  0.216  0.366
Y  0.405  0.716  0.634
Y  0.595  0.284  0.634
Y  0.905  0.784  0.366
Si  0.000  0.500  0.964
Si  0.500  0.000  0.036
P  0.088  0.331  0.811
P  0.136  0.073  0.853
P  0.364  0.573  0.147
P  0.412  0.831  0.189
P  0.588  0.169  0.189
P  0.636  0.427  0.147
P  0.864  0.927  0.853
P  0.912  0.669  0.811
O  0.000  0.000  0.922
O  0.072  0.427  0.785
O  0.076  0.707  0.665
O  0.088  0.312  0.079
O  0.096  0.105  0.605
O  0.123  0.131  0.059
O  0.164  0.530  0.150
O  0.235  0.803  0.329
O  0.265  0.303  0.671
O  0.336  0.030  0.850
O  0.377  0.631  0.941
O  0.404  0.605  0.395
O  0.412  0.812  0.921
O  0.424  0.207  0.335
O  0.428  0.927  0.215
O  0.500  0.500  0.078
O  0.572  0.073  0.215
O  0.576  0.793  0.335
O  0.588  0.188  0.921
O  0.596  0.395  0.395
O  0.623  0.369  0.941
O  0.664  0.970  0.850
O  0.735  0.697  0.671
O  0.765  0.197  0.329
O  0.836  0.470  0.150
O  0.877  0.869  0.059
O  0.904  0.895  0.605
O  0.912  0.688  0.079
O  0.924  0.293  0.665
O  0.928  0.573  0.785

Top 12 peaks for 2θ = 10–80°, sorted by position:
d/Å	2θ (°)	Rel. int.	hkl
8.269	10.70	81	0 2 0
4.602	19.29	86	0 2 1
3.908	22.76	68	0 3 1
3.859	23.05	39	1 2 1
3.463	25.72	100	2 1 0
3.421	26.04	47	1 3 1
3.001	29.77	32	1 4 1
2.840	31.50	28	0 5 1
2.636	34.01	19	1 5 1
2.124	42.57	18	0 5 2
2.021	44.85	22	3 3 1
1.786	51.13	19	3 1 2